[1]
Starting from a PBE-relaxed structure, the powder X-ray diffraction pattern of Tb15Dy2Mg2 was calculated for CuKα.
Intensities are scaled so that the largest is 1000.

Principal peaks in the range 2θ from 10° to 80°, by angle:
- 5.579 Å, 15.89°, intensity 328, hkl 1 1 0
- 3.221 Å, 27.70°, intensity 150, hkl 3 0 0
- 3.205 Å, 27.83°, intensity 153, hkl 0 2 4
- 2.856 Å, 31.32°, intensity 357, hkl 0 0 6
- 2.806 Å, 31.90°, intensity 1000, hkl 0 3 3
- 2.792 Å, 32.06°, intensity 682, hkl 2 2 0
- 2.507 Å, 35.83°, intensity 600, hkl 2 2 3
- 1.768 Å, 51.69°, intensity 179, hkl 3 3 3
- 1.611 Å, 57.19°, intensity 286, hkl 6 0 0
- 1.403 Å, 66.67°, intensity 148, hkl 0 6 6

Crystal structure
```
data_Tb15Dy2Mg2
_chemical_formula_sum 'Tb45 Dy6 Mg6'
_symmetry_space_group_name_H-M 'R -3 m'
_symmetry_Int_Tables_number 166
_symmetry_space_group_name_Hall '-R 3 2"'
_cell_length_a 11.1577
_cell_length_b 11.1577
_cell_length_c 17.1363
_cell_angle_alpha 90.00
_cell_angle_beta 90.00
_cell_angle_gamma 120.00
loop_
_atom_site_label
_atom_site_type_symbol
_atom_site_fract_x
_atom_site_fract_y
_atom_site_fract_z
Tb1 Tb 0.0000 0.2978 0.0000
Tb2 Tb 0.0000 0.5000 0.5000
Tb3 Tb 0.0087 0.5043 0.1416
Dy1 Dy 0.0000 0.0000 0.3240
Mg1 Mg 0.0000 0.0000 0.0931
```

=====

[2]
Starting from a PBE-relaxed structure, the powder X-ray diffraction pattern of Zr5Sb6 was calculated for CuKα.
Intensities are scaled so that the largest is 1000.

Principal peaks in the range 2θ from 10° to 80°, by angle:
- 3.332 Å, 26.75°, intensity 64, hkl 0 0 2
- 2.888 Å, 30.96°, intensity 1000, hkl 2 0 -2
- 2.046 Å, 44.26°, intensity 235, hkl 3 3 -1
- 2.040 Å, 44.40°, intensity 471, hkl 1 3 -3
- 1.672 Å, 54.93°, intensity 58, hkl 4 0 0
- 1.666 Å, 55.12°, intensity 178, hkl 0 0 4
- 1.443 Å, 64.60°, intensity 67, hkl 2 6 2
- 1.295 Å, 73.07°, intensity 51, hkl 5 3 -3
- 1.292 Å, 73.29°, intensity 96, hkl 3 3 -5
- 1.290 Å, 73.42°, intensity 90, hkl 0 6 4

Crystal structure
```
data_Zr5Sb6
_chemical_formula_sum 'Zr10 Sb12'
_symmetry_space_group_name_H-M 'C 1 2/m 1'
_symmetry_Int_Tables_number 12
_cell_length_a 7.0975
_cell_length_b 12.2323
_cell_length_c 7.0697
_cell_angle_alpha 90.00
_cell_angle_beta 109.59
_cell_angle_gamma 90.00
loop_
_symmetry_equiv_pos_as_xyz
'x,y,z'
'-x,-y,-z'
'-x,y,-z'
'x,-y,z'
'x+1/2,y+1/2,z'
'-x+1/2,-y+1/2,-z'
'-x+1/2,y+1/2,-z'
'x+1/2,-y+1/2,z'
loop_
_atom_site_label
_atom_site_type_symbol
_atom_site_fract_x
_atom_site_fract_y
_atom_site_fract_z
Zr1 Zr 0.0000 0.0000 0.0000
Zr2 Zr 0.0000 0.1642 0.5000
Zr3 Zr 0.0000 0.3241 0.0000
Sb1 Sb 0.2321 0.3444 0.7344
Sb2 Sb 0.2317 0.5000 0.2540
```

=====

[3]
Starting from a PBE-relaxed structure, the powder X-ray diffraction pattern of AcTmPb was calculated for CuKα.
Intensities are scaled so that the largest is 1000.

Principal peaks in the range 2θ from 10° to 80°, by angle:
- 3.415 Å, 26.09°, intensity 309, hkl 1 1 0
- 3.189 Å, 27.98°, intensity 693, hkl 1 1 2
- 2.973 Å, 30.06°, intensity 223, hkl 0 0 6
- 2.870 Å, 31.17°, intensity 573, hkl 1 0 5
- 2.711 Å, 33.04°, intensity 1000, hkl 1 1 4
- 2.415 Å, 37.24°, intensity 665, hkl 2 0 0
- 1.874 Å, 48.57°, intensity 242, hkl 2 0 6
- 1.848 Å, 49.32°, intensity 329, hkl 2 1 5
- 1.707 Å, 53.68°, intensity 237, hkl 2 2 0
- 1.445 Å, 64.49°, intensity 300, hkl 3 1 4

Crystal structure
```
data_AcTmPb
_chemical_formula_sum 'Ac4 Tm4 Pb4'
_symmetry_space_group_name_H-M 'I 4/m m m'
_symmetry_Int_Tables_number 139
_symmetry_space_group_name_Hall '-I 4 2'
_cell_length_a 4.8294
_cell_length_b 4.8294
_cell_length_c 17.8385
_cell_angle_alpha 90.00
_cell_angle_beta 90.00
_cell_angle_gamma 90.00
loop_
_atom_site_label
_atom_site_type_symbol
_atom_site_fract_x
_atom_site_fract_y
_atom_site_fract_z
Ac1 Ac 0.0000 0.0000 0.1754
Tm1 Tm 0.0000 0.5000 0.0000
Pb1 Pb 0.0000 0.0000 0.3763
```

=====

[4]
Starting from a PBE-relaxed structure, the powder X-ray diffraction pattern of Li2Mg3Sc2 was calculated for CuKα.
Intensities are scaled so that the largest is 1000.

Principal peaks in the range 2θ from 10° to 80°, by angle:
- 3.129 Å, 28.53°, intensity 320, hkl 1 5 0
- 2.577 Å, 34.82°, intensity 1000, hkl 1 1 1
- 2.550 Å, 35.19°, intensity 753, hkl 1 7 0
- 2.374 Å, 37.90°, intensity 512, hkl 0 6 1
- 2.272 Å, 39.66°, intensity 283, hkl 2 0 0
- 2.051 Å, 44.15°, intensity 158, hkl 0 8 1
- 1.642 Å, 56.02°, intensity 303, hkl 2 6 1
- 1.398 Å, 66.95°, intensity 191, hkl 1 13 1
- 1.363 Å, 68.86°, intensity 122, hkl 3 1 1
- 1.344 Å, 70.03°, intensity 176, hkl 1 7 2

Crystal structure
```
data_Li2Mg3Sc2
_chemical_formula_sum 'Li4 Mg6 Sc4'
_symmetry_space_group_name_H-M 'C m m m'
_symmetry_Int_Tables_number 65
_symmetry_space_group_name_Hall '-C 2 2'
_cell_length_a 4.5449
_cell_length_b 21.5653
_cell_length_c 3.1614
_cell_angle_alpha 90.00
_cell_angle_beta 90.00
_cell_angle_gamma 90.00
loop_
_atom_site_label
_atom_site_type_symbol
_atom_site_fract_x
_atom_site_fract_y
_atom_site_fract_z
Li1 Li 0.0000 0.2147 0.0000
Mg1 Mg 0.0000 0.3469 0.5000
Mg2 Mg 0.0000 0.5000 0.5000
Sc1 Sc 0.0000 0.0742 0.0000
```

=====

[5]
Starting from a PBE-relaxed structure, the powder X-ray diffraction pattern of La2Nd3Sm3 was calculated for CuKα.
Intensities are scaled so that the largest is 1000.

Principal peaks in the range 2θ from 10° to 80°, by angle:
- 3.003 Å, 29.76°, intensity 1000, hkl 3 1 1
- 2.603 Å, 34.46°, intensity 339, hkl 0 2 0
- 2.595 Å, 34.56°, intensity 168, hkl 8 0 0
- 1.839 Å, 49.57°, intensity 303, hkl 2 2 -2
- 1.836 Å, 49.64°, intensity 60, hkl 10 0 -2
- 1.569 Å, 58.85°, intensity 290, hkl 3 3 1
- 1.566 Å, 58.99°, intensity 143, hkl 11 1 1
- 1.501 Å, 61.80°, intensity 125, hkl 6 2 2
- 1.301 Å, 72.65°, intensity 39, hkl 0 4 0
- 1.298 Å, 72.90°, intensity 19, hkl 16 0 0

Crystal structure
```
data_La2Nd3Sm3
_chemical_formula_sum 'La4 Nd6 Sm6'
_symmetry_space_group_name_H-M 'C 1 2/m 1'
_symmetry_Int_Tables_number 12
_cell_length_a 21.3969
_cell_length_b 5.2052
_cell_length_c 5.2061
_cell_angle_alpha 90.00
_cell_angle_beta 104.00
_cell_angle_gamma 90.00
loop_
_symmetry_equiv_pos_as_xyz
'x,y,z'
'-x,-y,-z'
'-x,y,-z'
'x,-y,z'
'x+1/2,y+1/2,z'
'-x+1/2,-y+1/2,-z'
'-x+1/2,y+1/2,-z'
'x+1/2,-y+1/2,z'
loop_
_atom_site_label
_atom_site_type_symbol
_atom_site_fract_x
_atom_site_fract_y
_atom_site_fract_z
La1 La 0.2498 0.0000 0.2498
Nd1 Nd 0.0000 0.0000 0.0000
Nd2 Nd 0.1233 0.0000 0.6233
Sm1 Sm 0.0000 0.5000 0.5000
Sm2 Sm 0.1234 0.5000 0.1233
```

=====

[6]
Starting from a PBE-relaxed structure, the powder X-ray diffraction pattern of Ti6PbAu was calculated for CuKα.
Intensities are scaled so that the largest is 1000.

Principal peaks in the range 2θ from 10° to 80°, by angle:
- 5.044 Å, 17.58°, intensity 242, hkl 1 0 0
- 3.489 Å, 25.53°, intensity 654, hkl 1 0 1
- 2.912 Å, 30.70°, intensity 278, hkl 1 1 0
- 2.522 Å, 35.60°, intensity 237, hkl 2 0 0
- 2.415 Å, 37.23°, intensity 279, hkl 0 0 2
- 2.236 Å, 40.34°, intensity 1000, hkl 2 0 1
- 1.773 Å, 51.53°, intensity 208, hkl 2 1 1
- 1.456 Å, 63.93°, intensity 164, hkl 2 2 0
- 1.357 Å, 69.23°, intensity 194, hkl 2 0 3
- 1.247 Å, 76.37°, intensity 195, hkl 2 2 2

Crystal structure
```
data_Ti6PbAu
_chemical_formula_sum 'Ti6 Pb1 Au1'
_symmetry_space_group_name_H-M 'P -6 m 2'
_symmetry_Int_Tables_number 187
_symmetry_space_group_name_Hall 'P -6 2'
_cell_length_a 5.8246
_cell_length_b 5.8246
_cell_length_c 4.8306
_cell_angle_alpha 90.00
_cell_angle_beta 90.00
_cell_angle_gamma 120.00
loop_
_atom_site_label
_atom_site_type_symbol
_atom_site_fract_x
_atom_site_fract_y
_atom_site_fract_z
Ti1 Ti 0.0014 0.5007 0.0000
Ti2 Ti 0.1682 0.3364 0.5000
Pb1 Pb 0.6667 0.3333 0.5000
Au1 Au 0.0000 0.0000 0.0000
```

=====

[7]
Starting from a PBE-relaxed structure, the powder X-ray diffraction pattern of VRe2W4 was calculated for CuKα.
Intensities are scaled so that the largest is 1000.

Principal peaks in the range 2θ from 10° to 80°, by angle:
- 5.147 Å, 17.23°, intensity 278, hkl 0 2 0
- 4.416 Å, 20.11°, intensity 236, hkl 0 0 1
- 3.351 Å, 26.60°, intensity 243, hkl 0 2 1
- 2.308 Å, 39.03°, intensity 403, hkl 1 4 0
- 2.244 Å, 40.19°, intensity 1000, hkl 2 0 1
- 2.224 Å, 40.57°, intensity 364, hkl 0 4 1
- 2.208 Å, 40.87°, intensity 511, hkl 0 0 2
- 2.045 Å, 44.29°, intensity 520, hkl 1 4 1
- 1.831 Å, 49.80°, intensity 190, hkl 2 4 0
- 1.595 Å, 57.80°, intensity 260, hkl 1 4 2

Crystal structure
```
data_VRe2W4
_chemical_formula_sum 'V2 Re4 W8'
_symmetry_space_group_name_H-M 'P b a m'
_symmetry_Int_Tables_number 55
_cell_length_a 5.2111
_cell_length_b 10.2947
_cell_length_c 4.4157
_cell_angle_alpha 90.00
_cell_angle_beta 90.00
_cell_angle_gamma 90.00
loop_
_symmetry_equiv_pos_as_xyz
'x,y,z'
'-x,-y,-z'
'-x,-y,z'
'x,y,-z'
'x+1/2,-y+1/2,-z'
'-x+1/2,y+1/2,z'
'-x+1/2,y+1/2,-z'
'x+1/2,-y+1/2,z'
loop_
_atom_site_label
_atom_site_type_symbol
_atom_site_fract_x
_atom_site_fract_y
_atom_site_fract_z
V1 V 0.0000 0.0000 0.0000
Re1 Re 0.2194 0.1686 0.5000
W1 W 0.0145 0.7325 0.0000
W2 W 0.2354 0.4231 0.5000
```

=====

[8]
Starting from a PBE-relaxed structure, the powder X-ray diffraction pattern of AcS14I was calculated for CuKα.
Intensities are scaled so that the largest is 1000.

Principal peaks in the range 2θ from 10° to 80°, by angle:
- 7.261 Å, 12.19°, intensity 419, hkl 0 0 2
- 6.596 Å, 13.42°, intensity 877, hkl 0 2 0
- 4.882 Å, 18.17°, intensity 331, hkl 0 2 2
- 4.523 Å, 19.63°, intensity 219, hkl 2 1 1
- 4.175 Å, 21.28°, intensity 191, hkl 2 0 2
- 3.528 Å, 25.24°, intensity 315, hkl 2 2 2
- 3.249 Å, 27.45°, intensity 1000, hkl 2 3 1
- 3.001 Å, 29.77°, intensity 225, hkl 0 4 2
- 2.837 Å, 31.54°, intensity 220, hkl 0 1 5
- 2.315 Å, 38.91°, intensity 479, hkl 2 5 1

Crystal structure
```
data_AcS14I
_chemical_formula_sum 'Ac4 S56 I4'
_symmetry_space_group_name_H-M 'I m m a'
_symmetry_Int_Tables_number 74
_symmetry_space_group_name_Hall '-I 2b 2'
_cell_length_a 10.2058
_cell_length_b 13.1917
_cell_length_c 14.5230
_cell_angle_alpha 90.00
_cell_angle_beta 90.00
_cell_angle_gamma 90.00
loop_
_atom_site_label
_atom_site_type_symbol
_atom_site_fract_x
_atom_site_fract_y
_atom_site_fract_z
Ac1 Ac 0.2500 0.2500 0.2500
S1 S 0.0000 0.1076 0.1394
S2 S 0.0000 0.1317 0.3416
S3 S 0.0000 0.1666 0.4754
S4 S 0.1677 0.1337 0.0722
S5 S 0.2364 0.1417 0.8155
I1 I 0.0000 0.2500 0.8344
```

=====

[9]
Starting from a PBE-relaxed structure, the powder X-ray diffraction pattern of SnBi3Pb5 was calculated for CuKα.
Intensities are scaled so that the largest is 1000.

Principal peaks in the range 2θ from 10° to 80°, by angle:
- 2.915 Å, 30.68°, intensity 631, hkl 0 0 3
- 2.898 Å, 30.85°, intensity 616, hkl 3 0 0
- 2.807 Å, 31.88°, intensity 440, hkl 1 2 1
- 2.780 Å, 32.20°, intensity 568, hkl 3 0 -3
- 2.767 Å, 32.35°, intensity 1000, hkl 2 2 -1
- 2.034 Å, 44.54°, intensity 237, hkl 2 2 2
- 1.979 Å, 45.86°, intensity 168, hkl 2 2 -4
- 1.972 Å, 46.03°, intensity 161, hkl 4 2 -2
- 1.455 Å, 63.99°, intensity 163, hkl 0 4 3
- 1.437 Å, 64.87°, intensity 161, hkl 3 4 -3

Crystal structure
```
data_SnBi3Pb5
_chemical_formula_sum 'Sn2 Bi6 Pb10'
_symmetry_space_group_name_H-M 'P 1 21/m 1'
_symmetry_Int_Tables_number 11
_cell_length_a 9.7561
_cell_length_b 6.7167
_cell_length_c 9.8114
_cell_angle_alpha 90.00
_cell_angle_beta 116.98
_cell_angle_gamma 90.00
loop_
_symmetry_equiv_pos_as_xyz
'x,y,z'
'-x,-y,-z'
'-x,y+1/2,-z'
'x,-y+1/2,z'
loop_
_atom_site_label
_atom_site_type_symbol
_atom_site_fract_x
_atom_site_fract_y
_atom_site_fract_z
Sn1 Sn 0.0000 0.0000 0.0000
Bi1 Bi 0.0120 0.2500 0.6799
Bi2 Bi 0.3168 0.7500 0.9875
Bi3 Bi 0.3480 0.2500 0.3445
Pb1 Pb 0.0063 0.2500 0.3352
Pb2 Pb 0.3274 0.7500 0.3274
Pb3 Pb 0.3321 0.9998 0.6657
Pb4 Pb 0.3365 0.2500 0.0033
```

=====

[10]
Starting from a PBE-relaxed structure, the powder X-ray diffraction pattern of Li4HgAu15 was calculated for CuKα.
Intensities are scaled so that the largest is 1000.

Principal peaks in the range 2θ from 10° to 80°, by angle:
- 4.104 Å, 21.65°, intensity 178, hkl 1 0 0
- 2.902 Å, 30.81°, intensity 153, hkl 1 1 0
- 2.370 Å, 37.97°, intensity 1000, hkl 1 1 5
- 2.056 Å, 44.04°, intensity 149, hkl 0 0 10
- 2.050 Å, 44.18°, intensity 341, hkl 2 0 0
- 1.675 Å, 54.79°, intensity 56, hkl 2 1 5
- 1.452 Å, 64.14°, intensity 197, hkl 2 0 10
- 1.450 Å, 64.26°, intensity 113, hkl 2 2 0
- 1.239 Å, 76.93°, intensity 100, hkl 1 1 15
- 1.237 Å, 77.13°, intensity 264, hkl 3 1 5

Crystal structure
```
data_Li4HgAu15
_chemical_formula_sum 'Li4 Hg1 Au15'
_symmetry_space_group_name_H-M 'P 4/m m m'
_symmetry_Int_Tables_number 123
_symmetry_space_group_name_Hall '-P 4 2'
_cell_length_a 4.1002
_cell_length_b 4.1002
_cell_length_c 20.5639
_cell_angle_alpha 90.00
_cell_angle_beta 90.00
_cell_angle_gamma 90.00
loop_
_atom_site_label
_atom_site_type_symbol
_atom_site_fract_x
_atom_site_fract_y
_atom_site_fract_z
Li1 Li 0.0000 0.0000 0.0980
Li2 Li 0.0000 0.0000 0.2936
Hg1 Hg 0.0000 0.0000 0.5000
Au1 Au 0.0000 0.5000 0.0000
Au2 Au 0.0000 0.5000 0.1949
Au3 Au 0.0000 0.5000 0.3905
Au4 Au 0.5000 0.5000 0.0974
Au5 Au 0.5000 0.5000 0.2928
Au6 Au 0.5000 0.5000 0.5000
```